Record 1
Ce5Ga3: simulated powder X-ray diffraction pattern (Cu Kα X-rays), based on a PBE-relaxed structure.
No peak broadening, texture or thermal motion is included.

Crystal structure
Cell lengths 8.951, 8.951, 8.951 Å; angles 95.68, 95.68, 143.32 degrees
Positions (direct):
1 Ce 0.082 0.776 0.858
2 Ce 0.224 0.082 0.306
3 Ce 0.250 0.750 0.500
4 Ce 0.276 0.582 0.858
5 Ce 0.418 0.276 0.694
6 Ce 0.582 0.724 0.306
7 Ce 0.724 0.418 0.142
8 Ce 0.750 0.250 0.500
9 Ce 0.776 0.918 0.694
10 Ce 0.918 0.224 0.142
11 Ga 0.163 0.337 0.500
12 Ga 0.250 0.250 0.000
13 Ga 0.337 0.837 0.174
14 Ga 0.663 0.163 0.826
15 Ga 0.750 0.750 0.000
16 Ga 0.837 0.663 0.500

Peak list (6 most intense, 2θ = 10–80°, in order of falling intensity)
- 34.66 deg, rel. 100
- 33.35 deg, rel. 73
- 31.18 deg, rel. 69
- 38.34 deg, rel. 42
- 35.19 deg, rel. 42
- 58.47 deg, rel. 23

---

Record 2
CeGa: simulated powder X-ray diffraction pattern (Cu Kα X-rays), based on a PBE-relaxed structure.
No peak broadening, texture or thermal motion is included.

Crystal structure
Cell lengths 4.420, 11.133, 4.135 Å; angles 90.00, 90.00, 90.00 degrees
Positions (direct):
1 Ce 0.000 0.142 0.250
2 Ce 0.000 0.858 0.750
3 Ce 0.500 0.358 0.750
4 Ce 0.500 0.642 0.250
5 Ga 0.000 0.428 0.250
6 Ga 0.000 0.572 0.750
7 Ga 0.500 0.072 0.750
8 Ga 0.500 0.928 0.250

Peak list (6 most intense, 2θ = 10–80°, in order of falling intensity)
- 30.68 deg, rel. 100
- 38.43 deg, rel. 49
- 31.48 deg, rel. 46
- 40.83 deg, rel. 26
- 32.16 deg, rel. 23
- 39.01 deg, rel. 22

---

Record 3
CeGa3: simulated powder X-ray diffraction pattern (Cu Kα X-rays), based on a PBE-relaxed structure.
No peak broadening, texture or thermal motion is included.

Crystal structure
Cell lengths 6.405, 6.405, 4.571 Å; angles 90.00, 90.00, 120.00 degrees
Positions (direct):
1 Ce 0.333 0.667 0.250
2 Ce 0.667 0.333 0.750
3 Ga 0.145 0.291 0.750
4 Ga 0.145 0.855 0.750
5 Ga 0.291 0.145 0.250
6 Ga 0.709 0.855 0.750
7 Ga 0.855 0.145 0.250
8 Ga 0.855 0.709 0.250

Peak list (6 most intense, 2θ = 10–80°, in order of falling intensity)
- 37.95 deg, rel. 100
- 32.28 deg, rel. 25
- 39.42 deg, rel. 22
- 25.25 deg, rel. 18
- 72.01 deg, rel. 16
- 57.56 deg, rel. 16

---

Record 4
CeGaGe: simulated powder X-ray diffraction pattern (Cu Kα X-rays), based on a PBE-relaxed structure.
No peak broadening, texture or thermal motion is included.

Crystal structure
Cell lengths 4.245, 4.336, 14.544 Å; angles 90.00, 90.00, 90.00 degrees
Positions (direct):
1 Ce 0.000 0.250 0.122
2 Ce 0.000 0.750 0.878
3 Ce 0.500 0.250 0.378
4 Ce 0.500 0.750 0.622
5 Ga 0.000 0.250 0.710
6 Ga 0.000 0.750 0.290
7 Ga 0.500 0.250 0.790
8 Ga 0.500 0.750 0.210
9 Ge 0.000 0.250 0.543
10 Ge 0.000 0.750 0.457
11 Ge 0.500 0.250 0.957
12 Ge 0.500 0.750 0.043

Peak list (6 most intense, 2θ = 10–80°, in order of falling intensity)
- 31.97 deg, rel. 100
- 37.48 deg, rel. 27
- 37.22 deg, rel. 25
- 41.66 deg, rel. 22
- 42.60 deg, rel. 21
- 27.60 deg, rel. 17